Theoretical X-ray diffraction stick pattern
Compound: Li4Mn5O10
Radiation: Cu Kα
Structure: the GGA+U geometry in Alexandria

Main lines, by angle (2θ from 10° to 90°):
12.3°, d 7.208, I = 47
17.9°, d 4.942, I = 100
18.3°, d 4.851, I = 35
22.5°, d 3.947, I = 25
26.4°, d 3.375, I = 18
26.6°, d 3.346, I = 16
29.8°, d 3.001, I = 20
36.9°, d 2.436, I = 17
41.6°, d 2.170, I = 58
43.1°, d 2.098, I = 57
43.6°, d 2.077, I = 52
62.0°, d 1.496, I = 28

Cell: 6.6026 7.9525 7.9673 Å, 95.74 114.33 91.16°
Space group P-1 (No. 2)
Inequivalent atoms, fractional coordinates:
Li: 0.0946 0.0955 0.4207 [2 per cell]
Li: 0.2394 0.7499 0.4844 [2 per cell]
Li: 0.3253 0.2965 0.2418 [2 per cell]
Li: 0.3914 0.4069 0.5886 [2 per cell]
Mn: 0.0000 0.0000 0.0000 [1 per cell]
Mn: 0.0426 0.5494 0.6889 [2 per cell]
Mn: 0.1476 0.6514 0.1078 [2 per cell]
Mn: 0.3465 0.8526 0.8812 [2 per cell]
Mn: 0.4605 0.9512 0.3088 [2 per cell]
Mn: 0.5000 0.5000 0.0000 [1 per cell]
O: 0.0384 0.7755 0.8311 [2 per cell]
O: 0.0558 0.3500 0.5349 [2 per cell]
O: 0.1482 0.4499 0.9331 [2 per cell]
O: 0.1492 0.8732 0.2392 [2 per cell]
O: 0.2493 0.9628 0.6554 [2 per cell]
O: 0.2540 0.5139 0.3449 [2 per cell]
O: 0.3526 0.0719 0.0871 [2 per cell]
O: 0.3643 0.6062 0.7581 [2 per cell]
O: 0.4317 0.1537 0.4661 [2 per cell]
O: 0.4437 0.7384 0.1338 [2 per cell]